Record 1
For Zr5Pa2, DFT lattice parameters and positions (PBE) gives the simulated powder diffraction line list in this record (Cu Kα (weighted mean of Kα1 and Kα2)).

Main lines, sorted by position (2θ = 10–80°):
12.54 deg, I 28; 16.50 deg, I 23; 32.51 deg, I 56; 34.25 deg, I 54; 35.34 deg, I 100; 36.76 deg, I 44; 36.99 deg, I 45; 47.74 deg, I 20; 48.13 deg, I 19; 62.03 deg, I 20

```
14
Lattice="7.0612 -2.9045 0.0000 7.0612 2.9045 0.0000 -0.2836 0.0000 8.1198" Properties=species:S:1:pos:R:3 pbc="T T T"
Zr 1.7695 0.7612 7.8719
Zr 6.8484 2.1498 6.0899
Zr 3.9000 0.7866 5.5230
Zr 1.9113 -0.7612 3.8120
Zr 4.0419 -0.7866 1.4631
Zr 9.7969 0.7866 6.6567
Zr 11.9274 0.7612 4.3078
Zr 9.9387 -0.7866 2.5968
Zr 6.9903 -2.1498 2.0300
Zr 12.0692 -0.7612 0.2479
Pa 6.0912 0.7390 3.1017
Pa 7.8893 0.7390 0.9582
Pa 5.9494 -0.7390 7.1616
Pa 7.7475 -0.7390 5.0182
```

=====

Record 2
For ZrPa3, DFT lattice parameters and positions (PBE) gives the simulated powder diffraction line list in this record (Cu Kα (weighted mean of Kα1 and Kα2)).

Main lines, sorted by position (2θ = 10–80°):
17.88 deg, I 10; 32.10 deg, I 36; 33.01 deg, I 31; 36.25 deg, I 100; 46.71 deg, I 26; 59.95 deg, I 24; 61.05 deg, I 11; 61.11 deg, I 11; 67.23 deg, I 8; 76.96 deg, I 14

```
8
Lattice="12.1959 0.0000 0.0000 0.0000 3.2143 0.0000 -2.5426 0.0000 4.9645" Properties=species:S:1:pos:R:3 pbc="T T T"
Zr 0.0000 0.0000 0.0000
Zr 6.0980 1.6071 0.0000
Pa -1.2713 1.6071 2.4822
Pa 1.0764 0.0000 3.6915
Pa 2.4789 1.6071 1.2730
Pa 4.8267 0.0000 2.4822
Pa 7.1744 1.6071 3.6915
Pa 8.5769 0.0000 1.2730
```

=====

Record 3
For Pd3Pb4, DFT lattice parameters and positions (PBE) gives the simulated powder diffraction line list in this record (Cu Kα (weighted mean of Kα1 and Kα2)).

Main lines, sorted by position (2θ = 10–80°):
27.83 deg, I 70; 28.03 deg, I 30; 29.25 deg, I 38; 30.29 deg, I 32; 31.81 deg, I 23; 36.24 deg, I 43; 38.53 deg, I 23; 38.80 deg, I 75; 40.99 deg, I 100; 59.37 deg, I 23

```
14
Lattice="13.2613 0.0000 0.0000 0.0000 4.4057 0.0000 -1.6787 0.0000 5.6261" Properties=species:S:1:pos:R:3 pbc="T T T"
Pd 0.0000 0.0000 0.0000
Pd 2.3839 0.0000 1.8164
Pd 2.5681 2.2028 3.8097
Pd 6.6306 2.2028 0.0000
Pd 9.0145 2.2028 1.8164
Pd 9.1987 0.0000 3.8097
Pb 0.4468 2.2028 1.7936
Pb 0.8798 0.0000 4.5362
Pb 4.0722 2.2028 1.0899
Pb 4.5052 0.0000 3.8325
Pb 7.0774 0.0000 1.7936
Pb 7.5104 2.2028 4.5362
Pb 10.7028 0.0000 1.0899
Pb 11.1358 2.2028 3.8325
```

=====

Record 4
For Pd3Pb4, DFT lattice parameters and positions (PBE) gives the simulated powder diffraction line list in this record (Cu Kα (weighted mean of Kα1 and Kα2)).

Main lines, sorted by position (2θ = 10–80°):
26.01 deg, I 32; 27.61 deg, I 100; 31.53 deg, I 59; 38.67 deg, I 73; 40.18 deg, I 84; 40.32 deg, I 42; 41.29 deg, I 35; 55.81 deg, I 18; 58.96 deg, I 23; 65.52 deg, I 17

```
14
Lattice="7.7841 0.0000 0.0000 0.0000 4.4743 0.0000 -2.5979 0.0000 9.6996" Properties=species:S:1:pos:R:3 pbc="T T T"
Pd 0.0000 0.0000 0.0000
Pd -0.0005 0.0000 2.7820
Pd 1.2947 2.2371 6.9176
Pd 3.8921 2.2371 0.0000
Pd 3.8916 2.2371 2.7820
Pd 5.1868 0.0000 6.9176
Pb -1.2996 2.2371 8.3699
Pb -0.0064 0.0000 5.8329
Pb 1.3006 2.2371 3.8667
Pb 2.5938 0.0000 1.3297
Pb 2.5924 0.0000 8.3699
Pb 3.8857 2.2371 5.8329
Pb 5.1927 0.0000 3.8667
Pb 6.4859 2.2371 1.3297
```

=====

Which formula does entry 4 have? Pd3Pb4

=====

Copy entry 1 word for word.
For Zr5Pa2, DFT lattice parameters and positions (PBE) gives the simulated powder diffraction line list in this record (Cu Kα (weighted mean of Kα1 and Kα2)).

Main lines, sorted by position (2θ = 10–80°):
12.54 deg, I 28; 16.50 deg, I 23; 32.51 deg, I 56; 34.25 deg, I 54; 35.34 deg, I 100; 36.76 deg, I 44; 36.99 deg, I 45; 47.74 deg, I 20; 48.13 deg, I 19; 62.03 deg, I 20

```
14
Lattice="7.0612 -2.9045 0.0000 7.0612 2.9045 0.0000 -0.2836 0.0000 8.1198" Properties=species:S:1:pos:R:3 pbc="T T T"
Zr 1.7695 0.7612 7.8719
Zr 6.8484 2.1498 6.0899
Zr 3.9000 0.7866 5.5230
Zr 1.9113 -0.7612 3.8120
Zr 4.0419 -0.7866 1.4631
Zr 9.7969 0.7866 6.6567
Zr 11.9274 0.7612 4.3078
Zr 9.9387 -0.7866 2.5968
Zr 6.9903 -2.1498 2.0300
Zr 12.0692 -0.7612 0.2479
Pa 6.0912 0.7390 3.1017
Pa 7.8893 0.7390 0.9582
Pa 5.9494 -0.7390 7.1616
Pa 7.7475 -0.7390 5.0182
```

=====

Which formula does entry 4 have? Pd3Pb4